Structure and simulated powder X-ray diffraction pattern of LiNi2P4H3O14 (a crystal structure in Alexandria, relaxed with GGA+U; Cu Kα X-rays).

Principal peaks in the range 2θ from 5° to 70°, low angle first:
d/Å, Position (°2θ), intensity
7.503, 11.8, 41
7.129, 12.4, 100
4.184, 21.2, 42
3.378, 26.4, 30
3.242, 27.5, 70
3.082, 29.0, 19
2.880, 31.1, 19
2.781, 32.2, 17
2.773, 32.3, 38
2.377, 37.9, 16

Crystal structure
```
LiNi2P4H3O14
1.0
5.5200 -6.4434 0.0000
5.5200 6.4434 0.0000
-4.9249 0.0000 7.5014
Li Ni P H O
2 4 8 6 28
Direct
0.1418 0.8582 0.5000 Li
0.8582 0.1418 0.0000 Li
0.0043 0.5060 0.7603 Ni
0.0996 0.9129 0.0094 Ni
0.5060 0.0043 0.2603 Ni
0.9129 0.0996 0.5094 Ni
0.1858 0.2732 0.9444 P
0.2195 0.6500 0.1908 P
0.2732 0.1858 0.4444 P
0.3624 0.7899 0.8298 P
0.6500 0.2195 0.6908 P
0.7395 0.8238 0.0725 P
0.7899 0.3624 0.3298 P
0.8238 0.7395 0.5725 P
0.2379 0.4516 0.5532 H
0.4516 0.2379 0.0532 H
0.4833 0.9873 0.7514 H
0.5547 0.7708 0.4568 H
0.7708 0.5547 0.9568 H
0.9873 0.4833 0.2514 H
0.0747 0.1303 0.9636 O
0.0845 0.2935 0.7767 O
0.1104 0.6757 0.0274 O
0.1234 0.6438 0.3046 O
0.1303 0.0747 0.4636 O
0.2254 0.6053 0.7183 O
0.2439 0.4567 0.1158 O
0.2477 0.3644 0.4473 O
0.2935 0.0845 0.2767 O
0.3386 0.9048 0.9905 O
0.3634 0.8841 0.7081 O
0.3644 0.2477 0.9473 O
0.4081 0.7847 0.2985 O
0.4567 0.2439 0.6158 O
0.5562 0.7712 0.8992 O
0.6053 0.2254 0.2183 O
0.6426 0.7591 0.5632 O
0.6438 0.1234 0.8046 O
0.6757 0.1104 0.5274 O
0.7179 0.9243 0.2394 O
0.7591 0.6426 0.0632 O
0.7712 0.5562 0.3992 O
0.7847 0.4081 0.7985 O
0.8818 0.9357 0.0537 O
0.8841 0.3634 0.2081 O
0.9048 0.3386 0.4905 O
0.9243 0.7179 0.7394 O
0.9357 0.8818 0.5537 O
```